# CsCoW2S8
Calculated powder diffraction line list, Cu Kα (weighted mean of Kα1 and Kα2). Input: DFT lattice parameters and positions (PBE).
Intensities are scaled so that the largest is 100.

Top 10 peaks for 10 to 80 degrees two-theta, by intensity:
2θ/deg, I_rel
20.60, 100.0
29.00, 39.6
46.74, 21.6
35.84, 21.2
29.59, 17.8
51.39, 17.7
17.70, 17.3
27.40, 16.1
47.53, 11.9
43.61, 11.8

Cell lengths 10.391, 10.391, 10.391 Å; angles 34.48, 34.48, 34.48 degrees
Sites, in units of the cell vectors:
Cs (0.000, 0.000, 0.000)
Co (0.500, 0.500, 0.500)
W (0.234, 0.234, 0.234)
W (0.766, 0.766, 0.766)
S (0.150, 0.751, 0.460)
S (0.249, 0.540, 0.850)
S (0.309, 0.309, 0.309)
S (0.460, 0.150, 0.751)
S (0.540, 0.850, 0.249)
S (0.691, 0.691, 0.691)
S (0.751, 0.460, 0.150)
S (0.850, 0.249, 0.540)

# PaTlS4
Calculated powder diffraction line list, Cu Kα (weighted mean of Kα1 and Kα2). Input: DFT lattice parameters and positions (PBE).
Intensities are scaled so that the largest is 100.

Top 10 peaks for 10 to 80 degrees two-theta, by intensity:
2θ/deg, I_rel
29.08, 100.0
22.23, 65.6
18.50, 65.2
36.90, 64.5
31.64, 52.5
44.03, 36.3
49.38, 32.2
54.78, 31.9
65.07, 25.8
51.07, 21.9

Cell lengths 6.244, 6.244, 7.998 Å; angles 90.00, 90.00, 100.36 degrees
Sites, in units of the cell vectors:
Pa (0.250, 0.250, 0.000)
Pa (0.750, 0.750, 0.000)
Tl (0.250, 0.250, 0.500)
Tl (0.750, 0.750, 0.500)
S (0.082, 0.918, 0.807)
S (0.119, 0.619, 0.180)
S (0.381, 0.881, 0.180)
S (0.418, 0.582, 0.807)
S (0.582, 0.418, 0.193)
S (0.619, 0.119, 0.820)
S (0.881, 0.381, 0.820)
S (0.918, 0.082, 0.193)

# CeCd4Hg
Calculated powder diffraction line list, Cu Kα (weighted mean of Kα1 and Kα2). Input: DFT lattice parameters and positions (PBE).
Intensities are scaled so that the largest is 100.

Top 10 peaks for 10 to 80 degrees two-theta, by intensity:
2θ/deg, I_rel
31.44, 100.0
34.49, 88.5
38.93, 48.7
39.56, 39.1
56.72, 26.5
33.24, 26.5
41.93, 24.2
27.48, 23.7
10.18, 23.6
49.44, 21.8

Cell lengths 8.990, 8.990, 7.378 Å; angles 90.00, 90.00, 150.18 degrees
Sites, in units of the cell vectors:
Ce (0.128, 0.872, 0.750)
Ce (0.872, 0.128, 0.250)
Cd (0.062, 0.938, 0.250)
Cd (0.334, 0.666, 0.554)
Cd (0.334, 0.666, 0.946)
Cd (0.500, 0.500, 0.000)
Cd (0.500, 0.500, 0.500)
Cd (0.666, 0.334, 0.054)
Cd (0.666, 0.334, 0.446)
Cd (0.938, 0.062, 0.750)
Hg (0.233, 0.767, 0.250)
Hg (0.767, 0.233, 0.750)

# Ac3La6Mg
Calculated powder diffraction line list, Cu Kα (weighted mean of Kα1 and Kα2). Input: DFT lattice parameters and positions (PBE).
Intensities are scaled so that the largest is 100.

Top 10 peaks for 10 to 80 degrees two-theta, by intensity:
2θ/deg, I_rel
29.07, 100.0
32.61, 20.2
32.47, 18.6
56.04, 16.1
49.27, 15.8
46.68, 13.7
35.91, 12.5
60.34, 9.7
79.69, 8.6
55.90, 8.6

Cell lengths 11.412, 5.491, 12.123 Å; angles 90.00, 94.40, 90.00 degrees
Sites, in units of the cell vectors:
Ac (0.055, 0.250, 0.406)
Ac (0.159, 0.750, 0.212)
Ac (0.257, 0.250, 0.014)
Ac (0.743, 0.750, 0.986)
Ac (0.841, 0.250, 0.788)
Ac (0.945, 0.750, 0.594)
La (0.052, 0.750, 0.901)
La (0.164, 0.250, 0.707)
La (0.275, 0.750, 0.513)
La (0.346, 0.750, 0.827)
La (0.372, 0.250, 0.318)
La (0.462, 0.750, 0.122)
La (0.538, 0.250, 0.878)
La (0.628, 0.750, 0.682)
La (0.654, 0.250, 0.173)
La (0.725, 0.250, 0.487)
La (0.836, 0.750, 0.293)
La (0.948, 0.250, 0.099)
Mg (0.447, 0.250, 0.602)
Mg (0.553, 0.750, 0.398)